Starting from a structure optimized by DFT (PBE), the X-ray diffraction stick pattern of Ac8Ni3I4N was calculated for Cu Kα X-rays.

Structural model:
```
data_Ac8Ni3I4N
_chemical_formula_sum 'Ac16 Ni6 I8 N2'
_cell_length_a 14.6008
_cell_length_b 8.6133
_cell_length_c 9.8014
_cell_angle_alpha 90.00
_cell_angle_beta 119.15
_cell_angle_gamma 90.00
_space_group_name_H-M_alt 'C 1 2/m 1'
_space_group_IT_number 12
loop_
_space_group_symop_operation_xyz
'x,y,z'
'-x,-y,-z'
'-x,y,-z'
'x,-y,z'
'x+1/2,y+1/2,z'
'-x+1/2,-y+1/2,-z'
'-x+1/2,y+1/2,-z'
'x+1/2,-y+1/2,z'
loop_
_atom_site_label
_atom_site_type_symbol
_atom_site_fract_x
_atom_site_fract_y
_atom_site_fract_z
_atom_site_occupancy
Ac1 Ac 0.0216 0.2433 0.3144 1
Ac2 Ac 0.2035 0.0000 0.6736 1
Ac3 Ac 0.2252 0.5000 0.6803 1
Ni1 Ni 0.0000 0.5000 0.5000 1
Ni2 Ni 0.2500 0.2500 0.5000 1
I1 I 0.0000 0.0000 0.0000 1
I2 I 0.0000 0.5000 0.0000 1
I3 I 0.2500 0.2500 0.0000 1
N1 N 0.0000 0.0000 0.5000 1
```

Main lines, in order of rising 2θ (10° ≤ 2θ ≤ 80°):
index, d (Å), 2theta, Rel. int.
2 2 -2, 3.204, 27.84, 100
4 0 0, 3.188, 27.99, 39
2 2 1, 3.015, 29.63, 39
0 0 3, 2.853, 31.35, 28
4 0 1, 2.601, 34.48, 23
6 2 -2, 2.119, 42.68, 35